For NiSn2O6F6, a crystal structure in Alexandria, relaxed with PBE+U gives the computed powder X-ray diffraction pattern in this record (Cu Ka).
No peak broadening, texture or thermal motion is included.

Largest 12 diffraction maxima, by angle, 2θ = 15–90°:
- d 5.572, 15.91 deg, I = 50, (1 0 0)
- d 5.491, 16.14 deg, I = 56, (0 1 -1)
- d 4.313, 20.60 deg, I = 63, (1 -1 0)
- d 4.169, 21.31 deg, I = 55, (1 1 0)
- d 3.547, 25.11 deg, I = 70, (-1 1 1)
- d 3.528, 25.25 deg, I = 100, (0 1 -2)
- d 3.384, 26.34 deg, I = 58, (1 1 1)
- d 2.829, 31.63 deg, I = 52, (1 -2 1)
- d 2.788, 32.11 deg, I = 45, (2 0 0)
- d 2.462, 36.49 deg, I = 37, (1 -2 2)
- d 2.265, 39.79 deg, I = 28, (1 0 -3)
- d 2.209, 40.84 deg, I = 41, (2 1 -2)

Crystal structure
```
data_NiSn2O6F6
_space_group_name_H-M_alt 'P 1'
_space_group_IT_number 1
_cell_length_a 5.579
_cell_length_b 6.690
_cell_length_c 7.485
_cell_angle_alpha 102.37
_cell_angle_beta 91.99
_cell_angle_gamma 91.49
loop_
_space_group_symop_operation_xyz
'x,y,z'
loop_
_atom_site_label
_atom_site_type_symbol
_atom_site_fract_x
_atom_site_fract_y
_atom_site_fract_z
Ni1 Ni 0.000 0.000 0.000
Sn1 Sn 0.471 0.330 0.147
Sn2 Sn 0.529 0.670 0.853
O1 O 0.018 0.169 0.670
O2 O 0.123 0.754 0.424
O3 O 0.147 0.234 0.146
O4 O 0.853 0.766 0.854
O5 O 0.877 0.246 0.576
O6 O 0.982 0.831 0.330
F1 F 0.320 0.916 0.868
F2 F 0.346 0.500 0.654
F3 F 0.360 0.626 0.082
F4 F 0.640 0.374 0.918
F5 F 0.654 0.500 0.346
F6 F 0.680 0.084 0.132
```